[1]
Starting from a structure optimized by DFT (PBE), the XRD peak list of Li2In3Ag8 was calculated for a wavelength of 1.5418 Å.
Lines closer than 0.1° are merged.

Peak list (8 most intense, 2θ = 10–90°, in order of rising 2θ)
2theta, d [Å], Rel. int., hkl
24.36, 3.654, 97, 0 0 9
33.49, 2.676, 73, 1 1 3
38.05, 2.365, 100, 2 0 2
39.26, 2.295, 43, 0 2 4
40.15, 2.246, 68, 2 0 5
40.34, 2.236, 55, 1 0 13
42.44, 2.130, 40, 0 2 7
47.00, 1.933, 56, 0 2 10

Structure:
```
data_Li2In3Ag8
_chemical_formula_sum 'Li6 In9 Ag24'
_cell_length_a 5.5189
_cell_length_b 5.5189
_cell_length_c 32.8865
_cell_angle_alpha 90.00
_cell_angle_beta 90.00
_cell_angle_gamma 120.00
_space_group_name_H-M_alt 'R -3 m'
_space_group_IT_number 166
_space_group_name_Hall '-R 3 2"'
loop_
_atom_site_label
_atom_site_fract_x
_atom_site_fract_y
_atom_site_fract_z
Li1 0.0000 0.0000 0.1063
In1 0.0000 0.0000 0.2703
In2 0.0000 0.0000 0.5000
Ag1 0.0000 0.0000 0.1848
Ag2 0.0025 0.5013 0.2961
```


[2]
Starting from a structure optimized by DFT (PBE), the XRD peak list of Li12InAg2 was calculated for a wavelength of 1.5418 Å.
Lines closer than 0.1° are merged.

Peak list (8 most intense, 2θ = 10–90°, in order of rising 2θ)
2theta, d [Å], Rel. int., hkl
17.05, 5.201, 69, 0 0 4
21.36, 4.160, 50, 0 0 5
23.47, 3.791, 100, 2 0 0
23.86, 3.729, 46, 2 0 1
29.15, 3.063, 85, 2 0 4
31.94, 2.802, 77, 2 0 5
37.76, 2.383, 48, 2 2 4
40.01, 2.253, 47, 2 2 5

Structure:
```
data_Li12InAg2
_chemical_formula_sum 'Li48 In4 Ag8'
_cell_length_a 7.577
_cell_length_b 7.586
_cell_length_c 20.802
_cell_angle_alpha 90.00
_cell_angle_beta 90.00
_cell_angle_gamma 90.00
_space_group_name_H-M_alt 'C m m e'
_space_group_IT_number 67
_space_group_name_Hall '-C 2a 2'
loop_
_atom_site_label
_atom_site_fract_x
_atom_site_fract_y
_atom_site_fract_z
Li1 0.000 0.000 0.107
Li2 0.000 0.064 0.439
Li3 0.186 0.250 0.561
Li4 0.250 0.000 0.207
Li5 0.250 0.000 0.328
Li6 0.250 0.250 0.107
In1 0.000 0.250 0.000
Ag1 0.000 0.250 0.219
Ag2 0.000 0.250 0.780
```